This entry pairs a crystal structure of Sr6Ca2Fe7CoO24 with its simulated powder diffraction line list. Radiation: Cu Kα (λ = 1.5418 Å). Structure: a PBE+U-relaxed structure.

Top 10 peaks for 10 to 80 degrees two-theta, in order of rising 2θ:
d/Å	I/Imax
2.756	504
2.748	1000
2.246	167
1.949	411
1.938	200
1.590	374
1.585	184
1.378	116
1.374	227
1.232	159

Lattice parameters (Å, degrees): 7.795 7.795 7.752 90.00 90.00 90.03
Sites, in units of the cell vectors:
Sr  0.250  0.250  0.503
Sr  0.250  0.250  0.999
Sr  0.250  0.750  0.000
Sr  0.750  0.250  0.000
Sr  0.750  0.750  0.503
Sr  0.750  0.750  0.999
Ca  0.249  0.751  0.509
Ca  0.751  0.249  0.509
Fe  0.000  0.000  0.253
Fe  0.000  0.000  0.750
Fe  0.000  0.500  0.253
Fe  0.000  0.500  0.750
Fe  0.500  0.000  0.253
Fe  0.500  0.000  0.750
Fe  0.500  0.500  0.254
Co  0.500  0.500  0.750
O  0.000  0.000  0.001
O  0.000  0.000  0.501
O  0.000  0.500  0.001
O  0.000  0.500  0.501
O  0.002  0.750  0.254
O  0.002  0.751  0.748
O  0.249  0.998  0.748
O  0.250  0.998  0.254
O  0.251  0.503  0.747
O  0.254  0.501  0.254
O  0.497  0.749  0.747
O  0.499  0.746  0.254
O  0.500  0.000  0.001
O  0.500  0.000  0.501
O  0.500  0.500  0.516
O  0.500  0.500  0.985
O  0.501  0.254  0.254
O  0.503  0.251  0.747
O  0.746  0.499  0.254
O  0.749  0.497  0.747
O  0.750  0.002  0.254
O  0.751  0.002  0.748
O  0.998  0.249  0.748
O  0.998  0.250  0.254